For Nd2Mo4O15, a DFT-relaxed cell (PBE+U, Alexandria) gives the theoretical powder X-ray diffraction pattern in this record (a wavelength of 1.5418 Å).
Kinematic intensities with the Lorentz-polarization factor, no thermal factor.

Structure:
```
Nd2Mo4O15
1.0
7.5201 0.0000 0.0000
0.8060 7.6027 0.0000
1.1936 0.0895 11.8661
Nd Mo O
4 8 30
direct
0.1802 0.0875 0.2229 Nd
0.2493 0.5845 0.7774 Nd
0.7507 0.4155 0.2226 Nd
0.8198 0.9125 0.7771 Nd
0.0611 0.7506 0.4740 Mo
0.2310 0.5686 0.1285 Mo
0.2712 0.0723 0.8705 Mo
0.4035 0.3326 0.4678 Mo
0.5965 0.6674 0.5322 Mo
0.7288 0.9277 0.1295 Mo
0.7690 0.4314 0.8715 Mo
0.9389 0.2494 0.5260 Mo
0.0777 0.4056 0.1803 O
0.0821 0.7367 0.6229 O
0.1195 0.9495 0.4050 O
0.1447 0.9035 0.8164 O
0.1668 0.7827 0.1857 O
0.1684 0.2894 0.5554 O
0.2033 0.5727 0.4117 O
0.2124 0.0973 0.0178 O
0.2266 0.2830 0.8047 O
0.2271 0.5893 0.9799 O
0.3594 0.2333 0.3403 O
0.4181 0.5222 0.5980 O
0.4519 0.4887 0.1597 O
0.4641 0.8299 0.4696 O
0.4967 0.0018 0.1572 O
0.5033 0.9982 0.8428 O
0.5359 0.1701 0.5304 O
0.5481 0.5113 0.8403 O
0.5819 0.4778 0.4020 O
0.6406 0.7667 0.6597 O
0.7729 0.4107 0.0201 O
0.7734 0.7170 0.1953 O
0.7876 0.9027 0.9822 O
0.7967 0.4273 0.5883 O
0.8316 0.7106 0.4446 O
0.8332 0.2173 0.8143 O
0.8553 0.0965 0.1836 O
0.8805 0.0505 0.5950 O
0.9179 0.2633 0.3771 O
0.9223 0.5944 0.8197 O
```

Peak list (12 most intense, 2θ from 10° to 80°, sorted by position)
(0 0 3), 2θ 22.48, I 100; (2 0 0), 2θ 23.92, I 37; (2 0 1), 2θ 24.36, I 62; (0 2 1), 2θ 24.54, I 30; (1 2 0), 2θ 25.17, I 47; (1 1 3), 2θ 26.50, I 41; (0 2 2), 2θ 27.77, I 28; (1 -2 1), 2θ 28.20, I 25; (1 1 -3), 2θ 28.63, I 46; (2 0 -2), 2θ 29.56, I 43; (2 2 0), 2θ 31.86, I 41; (3 -2 0), 2θ 45.69, I 28